# Ce5YSb3
Simulated powder diffractogram, λ = 1.5418 Å (Cu Kα). Input: a GGA-PBE-relaxed structure.

a = 9.0229 Å, b = 9.0229 Å, c = 6.6454 Å
α = 92.71°, β = 92.71°, γ = 103.54°
Fractional positions:
Ce 0.1414 0.4879 0.7232
Ce 0.1673 0.8327 0.0000
Ce 0.1691 0.8309 0.5000
Ce 0.1766 0.1766 0.2724
Ce 0.4879 0.1414 0.7232
Ce 0.5121 0.8586 0.2768
Ce 0.8234 0.8234 0.7276
Ce 0.8309 0.1691 0.5000
Ce 0.8327 0.1673 0.0000
Ce 0.8586 0.5121 0.2768
Y 0.5000 0.5000 0.0000
Y 0.5000 0.5000 0.5000
Sb 0.1334 0.1334 0.7663
Sb 0.2130 0.5355 0.2312
Sb 0.4645 0.7870 0.7688
Sb 0.5355 0.2130 0.2312
Sb 0.7870 0.4645 0.7688
Sb 0.8666 0.8666 0.2337

Principal peaks in the range 15° ≤ 2θ ≤ 90°, low angle first:
| 2θ (°) | Rel. int. |
| --- | --- |
| 30.6 | 100 |
| 32.5 | 27 |
| 33.5 | 67 |
| 34.5 | 24 |
| 38.1 | 33 |
| 40.7 | 18 |
| 50.9 | 15 |
| 57.0 | 13 |